Dy2PaCrO8: simulated powder diffraction line list (a wavelength of 1.5418 Å), based on a crystal structure in Alexandria, relaxed with PBE+U.

Top 10 peaks for 2θ = 5–70°, low angle first:
2θ (°), I_rel
13.20, 13
22.22, 23
25.06, 59
25.48, 54
32.17, 100
36.04, 29
48.83, 41
49.31, 36
62.37, 22
67.29, 11

Cell and atoms:
a b c (Å): 4.985 4.985 6.709
angles (deg): 90.00 90.00 90.95
Atoms (fractional coordinates):
Dy  0.000  0.000  0.243
Dy  0.000  0.000  0.757
Pa  0.500  0.500  0.500
Cr  0.500  0.500  0.000
O  0.195  0.195  0.500
O  0.243  0.243  0.000
O  0.318  0.682  0.229
O  0.318  0.682  0.771
O  0.682  0.318  0.229
O  0.682  0.318  0.771
O  0.757  0.757  0.000
O  0.805  0.805  0.500